Record 1
Computed X-ray powder pattern
Compound: SrGa2Ag3
Radiation: Cu Kα (λ = 1.5418 Å)
Structure: DFT lattice parameters and positions (GGA-PBE)

Peak list (12 most intense, 2θ from 10° to 90°, low angle first)
2theta  Rel. int.
12.47  56
30.75  16
32.26  12
32.93  100
34.35  14
35.68  84
40.77  48
41.98  31
42.34  22
43.93  27
61.48  19
69.27  11

Structural model:
```
SrGa2Ag3
1.0
8.4014 -2.2131 0.0000
8.4014 2.2131 0.0000
-3.4898 0.0000 7.1002
Sr Ga Ag
2 4 6
Direct
0.1513 0.1513 0.0700
0.8487 0.8487 0.9300
0.1922 0.1922 0.6817
0.4820 0.4820 0.8291
0.5180 0.5180 0.1709
0.8078 0.8078 0.3183
0.0358 0.0358 0.3651
0.3165 0.3165 0.5584
0.4055 0.4055 0.3232
0.5945 0.5945 0.6768
0.6835 0.6835 0.4416
0.9642 0.9642 0.6349
```

Record 2
Computed X-ray powder pattern
Compound: Sr3Ga4Ag2
Radiation: Cu Kα (λ = 1.5418 Å)
Structure: DFT lattice parameters and positions (GGA-PBE)

Peak list (12 most intense, 2θ from 10° to 90°, low angle first)
2theta  Rel. int.
21.68  13
30.84  25
30.95  24
31.14  100
38.35  63
38.96  31
44.18  18
50.53  24
59.81  13
60.01  15
60.35  14
65.73  12

Structural model:
```
Sr3Ga4Ag2
1.0
5.7992 -2.3118 0.0000
5.7992 2.3118 0.0000
-2.8714 0.0000 8.6669
Sr Ga Ag
3 4 2
Direct
0.0000 0.0000 0.0000
0.3236 0.3236 0.3402
0.6764 0.6764 0.6598
0.0337 0.0337 0.3753
0.2648 0.2648 0.9326
0.7352 0.7352 0.0674
0.9663 0.9663 0.6247
0.3975 0.3975 0.7282
0.6025 0.6025 0.2718
```

Record 3
Computed X-ray powder pattern
Compound: SrZnGaAg2
Radiation: Cu Kα (λ = 1.5418 Å)
Structure: DFT lattice parameters and positions (GGA-PBE)

Peak list (12 most intense, 2θ from 10° to 90°, low angle first)
2theta  Rel. int.
31.02  29
31.29  21
32.41  100
39.72  33
40.57  31
43.07  39
45.15  12
45.34  15
51.92  15
58.08  21
61.83  12
67.51  11

Structural model:
```
SrZnGaAg2
1.0
4.4475 0.0000 0.0000
0.0000 4.5383 0.0000
0.0000 0.0000 11.1979
Sr Zn Ga Ag
2 2 2 4
Direct
0.0000 0.0000 0.0000
0.5000 0.5000 0.5000
0.0000 0.0000 0.6213
0.5000 0.5000 0.1213
0.0000 0.5000 0.7461
0.5000 0.0000 0.2461
0.0000 0.0000 0.3881
0.0000 0.5000 0.2439
0.5000 0.0000 0.7439
0.5000 0.5000 0.8881
```

Record 4
Computed X-ray powder pattern
Compound: Tb4Ga12Ag
Radiation: Cu Kα (λ = 1.5418 Å)
Structure: DFT lattice parameters and positions (GGA-PBE)

Peak list (12 most intense, 2θ from 10° to 90°, low angle first)
2theta  Rel. int.
29.00  40
32.51  8
35.71  100
38.68  14
41.47  66
49.06  11
51.40  10
60.09  37
68.09  13
71.91  28
75.65  10
82.96  11

Structural model:
```
Tb4Ga12Ag
1.0
-4.3547 4.3547 4.3547
4.3547 -4.3547 4.3547
4.3547 4.3547 -4.3547
Tb Ga Ag
4 12 1
Direct
0.0000 0.0000 0.5000
0.0000 0.5000 0.0000
0.5000 0.0000 0.0000
0.5000 0.5000 0.5000
0.0000 0.3039 0.3039
0.0000 0.6961 0.6961
0.2500 0.5000 0.7500
0.2500 0.7500 0.5000
0.3039 0.0000 0.3039
0.3039 0.3039 0.0000
0.5000 0.2500 0.7500
0.5000 0.7500 0.2500
0.6961 0.0000 0.6961
0.6961 0.6961 0.0000
0.7500 0.2500 0.5000
0.7500 0.5000 0.2500
0.0000 0.0000 0.0000
```

Record 5
Computed X-ray powder pattern
Compound: Tb3Ga4Ag2
Radiation: Cu Kα (λ = 1.5418 Å)
Structure: DFT lattice parameters and positions (GGA-PBE)

Peak list (12 most intense, 2θ from 10° to 90°, low angle first)
2theta  Rel. int.
22.54  29
33.66  43
33.78  78
34.12  85
34.32  37
39.50  51
39.60  100
51.46  20
52.84  24
53.30  21
66.75  17
67.81  21

Structural model:
```
Tb3Ga4Ag2
1.0
5.3542 -2.2816 0.0000
5.3542 2.2816 0.0000
-3.4890 0.0000 7.8388
Tb Ga Ag
3 4 2
Direct
0.0000 0.0000 0.0000
0.3302 0.3302 0.3399
0.6698 0.6698 0.6601
0.0335 0.0335 0.3700
0.2577 0.2577 0.9242
0.7423 0.7423 0.0758
0.9665 0.9665 0.6300
0.3951 0.3951 0.7277
0.6049 0.6049 0.2723
```

Record 6
Computed X-ray powder pattern
Compound: Tb2Ga3Ag5
Radiation: Cu Kα (λ = 1.5418 Å)
Structure: DFT lattice parameters and positions (GGA-PBE)

Peak list (12 most intense, 2θ from 10° to 90°, low angle first)
2theta  Rel. int.
29.56  16
31.06  70
34.06  99
34.32  100
43.41  58
44.00  81
54.65  15
63.36  18
63.67  29
74.35  19
74.81  17
78.54  15

Structural model:
```
Tb2Ga3Ag5
1.0
-5.7942 6.0440 2.9241
5.7942 -6.0440 2.9241
5.7942 6.0440 -2.9241
Tb Ga Ag
4 6 10
Direct
0.2335 0.1315 0.3651
0.2665 0.6315 0.8980
0.7335 0.3685 0.1020
0.7665 0.8685 0.6349
0.1366 0.8686 0.0052
0.2500 0.7500 0.5000
0.3634 0.3686 0.7321
0.6366 0.6314 0.2679
0.7500 0.2500 0.5000
0.8634 0.1314 0.9948
0.1534 0.3933 0.5466
0.2500 0.2500 0.0000
0.2500 0.5070 0.2570
0.2500 0.9930 0.7430
0.3466 0.8933 0.2399
0.6534 0.1067 0.7601
0.7500 0.0070 0.2570
0.7500 0.4930 0.7430
0.7500 0.7500 0.0000
0.8466 0.6067 0.4534
```

Record 7
Computed X-ray powder pattern
Compound: Ga12Ag2Te19
Radiation: Cu Kα (λ = 1.5418 Å)
Structure: DFT lattice parameters and positions (GGA-PBE)

Peak list (12 most intense, 2θ from 10° to 90°, low angle first)
2theta  Rel. int.
12.11  61
25.03  71
25.21  63
25.43  60
25.56  37
25.69  100
25.99  44
27.31  73
27.57  58
28.37  39
28.62  35
32.16  32

Structural model:
```
Ga12Ag2Te19
1.0
10.3254 0.0000 0.0000
-0.0273 10.3391 0.0000
-0.1854 -0.2425 10.8303
Ga Ag Te
12 2 19
Direct
0.0000 0.0000 0.0000
0.0045 0.0383 0.6502
0.0411 0.1167 0.2962
0.3172 0.2484 0.5632
0.3305 0.9217 0.7360
0.4219 0.8471 0.0612
0.4661 0.5207 0.7930
0.5224 0.5114 0.1299
0.6265 0.5331 0.4927
0.7593 0.8102 0.2254
0.8470 0.4267 0.2193
0.9428 0.3607 0.5526
0.5069 0.9884 0.4023
0.8906 0.7309 0.6668
0.0133 0.8673 0.2087
0.0255 0.5079 0.3777
0.1179 0.2682 0.7171
0.1462 0.8363 0.5839
0.2588 0.0244 0.9581
0.2881 0.1587 0.3372
0.3412 0.6685 0.2047
0.3739 0.5074 0.5652
0.4559 0.3458 0.9508
0.4979 0.0957 0.6521
0.5178 0.7668 0.8355
0.6092 0.0008 0.1522
0.6185 0.3542 0.3106
0.6917 0.7771 0.4582
0.7574 0.6092 0.0652
0.7716 0.4848 0.6932
0.8379 0.9592 0.8162
0.8546 0.1290 0.4637
0.9927 0.2527 0.0930
```

Record 8
Computed X-ray powder pattern
Compound: Ga2AgTe3
Radiation: Cu Kα (λ = 1.5418 Å)
Structure: DFT lattice parameters and positions (GGA-PBE)

Peak list (12 most intense, 2θ from 10° to 90°, low angle first)
2theta  Rel. int.
21.84  100
22.28  30
23.57  45
25.47  68
26.22  40
35.74  45
37.01  67
40.03  80
43.15  29
45.47  28
46.32  37
47.54  32

Structural model:
```
Ga2AgTe3
1.0
10.6032 -2.4286 0.0000
10.6032 2.4286 0.0000
-1.0990 0.0000 7.5485
Ga Ag Te
4 2 6
Direct
0.0502 0.0502 0.2085
0.2949 0.2949 0.6167
0.7051 0.7051 0.3833
0.9498 0.9498 0.7915
0.3777 0.3777 0.2363
0.6223 0.6223 0.7637
0.0794 0.0794 0.8746
0.2431 0.2431 0.2601
0.4223 0.4223 0.6226
0.5777 0.5777 0.3774
0.7569 0.7569 0.7399
0.9206 0.9206 0.1254
```

Record 9
Computed X-ray powder pattern
Compound: Ga4AgTe7
Radiation: Cu Kα (λ = 1.5418 Å)
Structure: DFT lattice parameters and positions (GGA-PBE)

Peak list (12 most intense, 2θ from 10° to 90°, low angle first)
2theta  Rel. int.
13.61  26
23.58  25
23.90  18
25.06  100
26.74  32
28.10  44
35.74  20
41.30  19
42.39  41
45.13  32
46.02  32
49.86  26

Structural model:
```
Ga4AgTe7
1.0
16.0782 0.0000 0.0000
0.0000 7.5465 0.0000
0.0000 0.0000 7.1170
Ga Ag Te
8 2 14
Direct
0.1284 0.1716 0.0000
0.2403 0.3328 0.4851
0.2597 0.6672 0.9851
0.3716 0.8284 0.5000
0.6284 0.8284 0.5000
0.7403 0.6672 0.9851
0.7597 0.3328 0.4851
0.8716 0.1716 0.0000
0.0000 0.6625 0.8932
0.5000 0.3375 0.3932
0.0000 0.3092 0.8173
0.1066 0.1580 0.3659
0.1400 0.8557 0.8272
0.2335 0.6695 0.3628
0.2665 0.3305 0.8628
0.3600 0.1443 0.3272
0.3934 0.8420 0.8659
0.5000 0.6908 0.3173
0.6066 0.8420 0.8659
0.6400 0.1443 0.3272
0.7335 0.3305 0.8628
0.7665 0.6695 0.3628
0.8600 0.8557 0.8272
0.8934 0.1580 0.3659
```

Record 10
Computed X-ray powder pattern
Compound: GaAg8Te6
Radiation: Cu Kα (λ = 1.5418 Å)
Structure: DFT lattice parameters and positions (GGA-PBE)

Peak list (12 most intense, 2θ from 10° to 90°, low angle first)
2theta  Rel. int.
22.56  38
24.77  73
25.56  38
26.13  86
26.31  91
32.98  43
37.86  58
38.26  43
39.38  100
39.92  39
42.66  53
43.78  100

Structural model:
```
GaAg8Te6
1.0
8.4781 0.0000 0.0000
0.0000 8.3941 0.0000
0.0000 0.0000 11.4792
Ga Ag Te
2 16 12
Direct
0.0000 0.2309 0.0000
0.5000 0.7691 0.5000
0.0000 0.7359 0.9786
0.0000 0.8904 0.5126
0.1792 0.0048 0.7205
0.2185 0.3520 0.6330
0.2211 0.4059 0.3520
0.2789 0.5941 0.8520
0.2815 0.6480 0.1330
0.3208 0.9952 0.2205
0.5000 0.1096 0.0126
0.5000 0.2641 0.4786
0.6792 0.9952 0.2205
0.7185 0.6480 0.1330
0.7211 0.5941 0.8520
0.7789 0.4059 0.3520
0.7815 0.3520 0.6330
0.8208 0.0048 0.7205
0.0000 0.2236 0.4847
0.0000 0.4716 0.1483
0.0000 0.7173 0.7356
0.0000 0.9861 0.1357
0.2439 0.7459 0.3784
0.2561 0.2541 0.8784
0.5000 0.0139 0.6357
0.5000 0.2827 0.2356
0.5000 0.5284 0.6483
0.5000 0.7764 0.9847
0.7439 0.2541 0.8784
0.7561 0.7459 0.3784
```

Record 11
Computed X-ray powder pattern
Compound: Tl2GaAgTe4
Radiation: Cu Kα (λ = 1.5418 Å)
Structure: DFT lattice parameters and positions (GGA-PBE)

Peak list (12 most intense, 2θ from 10° to 90°, low angle first)
2theta  Rel. int.
25.10  100
27.56  14
27.69  12
30.92  8
32.83  21
33.04  21
36.33  10
41.79  24
41.92  22
45.35  35
47.27  11
61.84  7

Structural model:
```
Tl2GaAgTe4
1.0
7.1563 0.0000 0.0000
-1.0441 7.0946 0.0000
-3.0564 -3.5443 5.4562
Tl Ga Ag Te
2 1 1 4
Direct
0.0000 0.0000 0.0000
0.2437 0.7441 0.4977
0.4933 0.4934 0.9983
0.7450 0.2441 0.4973
0.1296 0.5461 0.9789
0.4433 0.4240 0.5856
0.5641 0.1489 0.0165
0.8352 0.8549 0.4132
```

Record 12
Computed X-ray powder pattern
Compound: ThGaAg2
Radiation: Cu Kα (λ = 1.5418 Å)
Structure: DFT lattice parameters and positions (GGA-PBE)

Peak list (12 most intense, 2θ from 10° to 90°, low angle first)
2theta  Rel. int.
23.75  27
28.16  35
32.07  46
33.30  24
35.85  71
37.58  100
38.71  45
51.12  25
58.40  20
67.82  15
69.33  16
70.44  19

Structural model:
```
ThGaAg2
1.0
4.6511 0.0000 0.0000
0.0000 6.3225 0.0000
0.0000 0.0000 5.9455
Th Ga Ag
2 2 4
Direct
0.2500 0.2500 0.1174
0.7500 0.7500 0.8826
0.2500 0.7500 0.2500
0.7500 0.2500 0.7500
0.2500 0.0088 0.6398
0.2500 0.4912 0.6398
0.7500 0.5088 0.3602
0.7500 0.9912 0.3602
```